Cr2HgO7: computed X-ray diffraction stick pattern (Cu Kα, 1.54184 Å), based on a GGA+U-relaxed structure.
No peak broadening, texture or thermal motion is included.

Main lines, by angle (10 to 90 degrees two-theta):
hkl, 2θ/deg, I (rel.)
0 1 1, 16.3, 52
1 0 2, 22.8, 26
1 1 0, 23.4, 100
2 -1 1, 25.1, 64
0 0 3, 27.7, 40
1 1 2, 29.9, 36
1 2 0, 36.0, 28
2 -1 3, 36.5, 33
3 0 1, 42.1, 24
4 -2 1, 48.7, 19

Structural model:
Lattice parameters (Å, degrees): 7.618 7.618 9.665 90.00 90.00 120.00
Positions (direct):
Cr1 0.087 0.409 0.000
Cr2 0.322 0.913 0.333
Cr3 0.428 0.079 0.008
Cr4 0.591 0.678 0.667
Cr5 0.651 0.572 0.341
Cr6 0.921 0.349 0.675
Hg1 0.264 0.020 0.672
Hg2 0.756 0.736 0.005
Hg3 0.980 0.244 0.339
O1 0.045 0.593 0.025
O2 0.048 0.590 0.649
O3 0.171 0.672 0.330
O4 0.247 0.024 0.883
O5 0.248 0.019 0.461
O6 0.309 0.020 0.173
O7 0.328 0.499 0.997
O8 0.407 0.452 0.692
O9 0.410 0.458 0.316
O10 0.501 0.829 0.663
O11 0.542 0.952 0.983
O12 0.548 0.955 0.359
O13 0.595 0.317 0.003
O14 0.683 0.278 0.670
O15 0.710 0.691 0.506
O16 0.722 0.405 0.337
O17 0.771 0.752 0.794
O18 0.777 0.753 0.217
O19 0.976 0.223 0.550
O20 0.980 0.290 0.839
O21 0.981 0.229 0.127